Starting from the PBE+U geometry in Alexandria, the PXRD pattern of Ni2RuClO was calculated for copper Kα.

Main lines, low angle first (10° ≤ 2θ ≤ 90°):
2θ (°)  intensity  h k l
28.9  24  1 0 1
31.0  58  0 0 2
38.2  100  1 1 1
50.0  28  2 0 0
60.0  56  2 0 2
85.9  29  2 0 4

Structure:
a b c (Å): 3.651 3.651 5.766
angles (deg): 90.00 90.00 90.00
Space group P4/mmm (No. 123)
One atom of each set of equivalent atoms:
1 Ni 0.000 0.500 0.000 [2 per cell]
2 Ru 0.000 0.000 0.500 [1 per cell]
3 Cl 0.500 0.500 0.500 [1 per cell]
4 O 0.500 0.500 0.000 [1 per cell]